Computed XRD peak list of Li2Ga7 for Cu Kα, 1.54184 Å, from a GGA-PBE-relaxed structure.
Kinematic intensities with the Lorentz-polarization factor, no thermal factor.

Top 6 peaks for 5° ≤ 2θ ≤ 70°, most intense first:
24.75°, I = 100, (2 0 1)
24.27°, I = 69, (2 0 -2)
45.71°, I = 44, (3 3 1)
15.96°, I = 41, (2 0 0)
42.09°, I = 41, (3 3 -2)
44.76°, I = 32, (6 0 -1)

Structural model:
Unit cell a=12.319 b=8.486 c=7.471 alpha=90.00 beta=115.34 gamma=90.00
Space group Cm (No. 8)
Asymmetric unit:
Li (0.000, 0.000, 0.000) [2 per cell]
Li (0.198, 0.203, 0.425) [4 per cell]
Li (0.264, 0.500, 0.058) [2 per cell]
Ga (0.049, 0.343, 0.025) [4 per cell]
Ga (0.084, 0.500, 0.356) [2 per cell]
Ga (0.178, 0.000, 0.724) [2 per cell]
Ga (0.216, 0.160, 0.048) [4 per cell]
Ga (0.304, 0.500, 0.614) [2 per cell]
Ga (0.326, 0.257, 0.832) [4 per cell]
Ga (0.371, 0.000, 0.363) [2 per cell]
Ga (0.394, 0.000, 0.709) [2 per cell]
Ga (0.441, 0.258, 0.249) [4 per cell]
Ga (0.462, 0.500, 0.465) [2 per cell]